[1]
The following is a calculated powder diffractogram of NaPO3. It was derived from the PBE geometry in the Materials Project, using CuKα.
Peak positions follow from Bragg's law for the DFT cell and can differ from measured ones.

Main lines, in order of rising 2θ (10° ≤ 2θ ≤ 90°):
Position (°2θ)	I/Imax
13.25	37
18.79	13
20.44	100
26.69	61
29.76	51
29.91	18
31.00	39
35.43	21
42.81	18
44.91	21

Atomic structure:
```
data_NaPO3
_chemical_formula_sum 'Na16 P16 O48'
_cell_length_a 13.3593
_cell_length_b 13.3593
_cell_length_c 6.3317
_cell_angle_alpha 90.00
_cell_angle_beta 90.00
_cell_angle_gamma 90.00
_symmetry_space_group_name_H-M 'I 41/a'
_symmetry_Int_Tables_number 88
loop_
_symmetry_equiv_pos_as_xyz
'x,y,z'
'-x,-y,-z'
'-y+3/4,x+1/4,z+1/4'
'y+3/4,-x+1/4,-z+1/4'
'-x+1/2,-y,z+1/2'
'x+1/2,y,-z+1/2'
'y+3/4,-x+3/4,z+3/4'
'-y+3/4,x+3/4,-z+3/4'
'x+1/2,y+1/2,z+1/2'
'-x+1/2,-y+1/2,-z+1/2'
'-y+1/4,x+3/4,z+3/4'
'y+1/4,-x+3/4,-z+3/4'
'-x,-y+1/2,z'
'x,y+1/2,-z'
'y+1/4,-x+1/4,z+1/4'
'-y+1/4,x+1/4,-z+1/4'
loop_
_atom_site_label
_atom_site_type_symbol
_atom_site_fract_x
_atom_site_fract_y
_atom_site_fract_z
_atom_site_occupancy
Na1 Na 0.0923 0.1528 0.3985 1
P1 P 0.1417 0.0717 0.8639 1
O1 O 0.0839 0.3356 0.4393 1
O2 O 0.1081 0.0073 0.0425 1
O3 O 0.1477 0.0103 0.6418 1
```

[2]
The following is a calculated powder diffractogram of NaPO3. It was derived from the PBE geometry in the Materials Project, using CuKα.
Peak positions follow from Bragg's law for the DFT cell and can differ from measured ones.

Main lines, in order of rising 2θ (10° ≤ 2θ ≤ 90°):
Position (°2θ)	I/Imax
14.28	31
18.53	58
21.26	79
26.75	100
26.86	78
27.95	87
30.57	43
31.53	73
35.13	26
45.59	26

Atomic structure:
```
data_NaPO3
_chemical_formula_sum 'Na8 P8 O24'
_cell_length_a 7.7508
_cell_length_b 6.1005
_cell_length_c 13.3929
_cell_angle_alpha 90.00
_cell_angle_beta 121.06
_cell_angle_gamma 90.00
_symmetry_space_group_name_H-M 'P 1 21/c 1'
_symmetry_Int_Tables_number 14
_symmetry_space_group_name_Hall '-P 2ybc'
loop_
_atom_site_label
_atom_site_type_symbol
_atom_site_fract_x
_atom_site_fract_y
_atom_site_fract_z
_atom_site_occupancy
Na1 Na 0.1916 0.1707 0.0007 1
Na2 Na 0.1932 0.5743 0.8054 1
P1 P 0.2765 0.6551 0.0973 1
P2 P 0.3437 0.0785 0.8098 1
O1 O 0.1591 0.1553 0.8098 1
O2 O 0.1755 0.6504 0.6151 1
O3 O 0.1962 0.5635 0.9779 1
O4 O 0.2849 0.0541 0.6746 1
O5 O 0.4538 0.6215 0.3771 1
O6 O 0.4838 0.2035 0.3461 1
```

[3]
The following is a calculated powder diffractogram of NaPO. It was derived from the PBE geometry in the Materials Project, using CuKα.
Peak positions follow from Bragg's law for the DFT cell and can differ from measured ones.

Main lines, in order of rising 2θ (10° ≤ 2θ ≤ 90°):
Position (°2θ)	I/Imax
20.42	60
32.00	82
34.50	100
41.00	43
41.53	66
45.70	40
49.93	36
62.10	28
66.90	27
72.74	20

Atomic structure:
```
data_NaPO
_chemical_formula_sum 'Na4 P4 O4'
_cell_length_a 7.3060
_cell_length_b 8.6972
_cell_length_c 2.7246
_cell_angle_alpha 90.00
_cell_angle_beta 90.00
_cell_angle_gamma 90.00
_symmetry_space_group_name_H-M 'I m m a'
_symmetry_Int_Tables_number 74
_symmetry_space_group_name_Hall '-I 2b 2'
loop_
_atom_site_label
_atom_site_type_symbol
_atom_site_fract_x
_atom_site_fract_y
_atom_site_fract_z
_atom_site_occupancy
Na1 Na 0.0000 0.0000 0.0000 1
P1 P 0.2500 0.2500 0.2500 1
O1 O 0.0000 0.2500 0.2840 1
```

[4]
The following is a calculated powder diffractogram of NaPO3. It was derived from the PBE geometry in the Materials Project, using CuKα.
Peak positions follow from Bragg's law for the DFT cell and can differ from measured ones.

Main lines, in order of rising 2θ (10° ≤ 2θ ≤ 90°):
Position (°2θ)	I/Imax
14.01	45
19.67	100
19.86	16
25.80	36
28.10	63
28.23	34
31.16	22
32.77	15
43.79	17
52.15	18

Atomic structure:
```
data_NaPO3
_chemical_formula_sum 'Na16 P16 O48'
_cell_length_a 12.6449
_cell_length_b 12.6449
_cell_length_c 7.4858
_cell_angle_alpha 90.00
_cell_angle_beta 90.00
_cell_angle_gamma 90.00
_symmetry_space_group_name_H-M 'I 41/a'
_symmetry_Int_Tables_number 88
loop_
_symmetry_equiv_pos_as_xyz
'x,y,z'
'-x,-y,-z'
'-y+3/4,x+1/4,z+1/4'
'y+3/4,-x+1/4,-z+1/4'
'-x+1/2,-y,z+1/2'
'x+1/2,y,-z+1/2'
'y+3/4,-x+3/4,z+3/4'
'-y+3/4,x+3/4,-z+3/4'
'x+1/2,y+1/2,z+1/2'
'-x+1/2,-y+1/2,-z+1/2'
'-y+1/4,x+3/4,z+3/4'
'y+1/4,-x+3/4,-z+3/4'
'-x,-y+1/2,z'
'x,y+1/2,-z'
'y+1/4,-x+1/4,z+1/4'
'-y+1/4,x+1/4,-z+1/4'
loop_
_atom_site_label
_atom_site_type_symbol
_atom_site_fract_x
_atom_site_fract_y
_atom_site_fract_z
_atom_site_occupancy
Na1 Na 0.0815 0.1460 0.3931 1
P1 P 0.1396 0.0496 0.8103 1
O1 O 0.0719 0.1466 0.7934 1
O2 O 0.1109 0.4566 0.0780 1
O3 O 0.1595 0.0112 0.6036 1
```

[5]
The following is a calculated powder diffractogram of Na4P2O17. It was derived from the PBE geometry in the Materials Project, using CuKα.
Peak positions follow from Bragg's law for the DFT cell and can differ from measured ones.

Main lines, in order of rising 2θ (10° ≤ 2θ ≤ 90°):
Position (°2θ)	I/Imax
12.77	100
16.20	21
17.88	22
19.83	40
20.33	45
24.38	43
31.17	45
32.73	42
34.46	26
40.28	33

Atomic structure:
```
data_Na4P2O17
_chemical_formula_sum 'Na16 P8 O68'
_cell_length_a 20.3999
_cell_length_b 5.9547
_cell_length_c 14.1642
_cell_angle_alpha 90.00
_cell_angle_beta 121.05
_cell_angle_gamma 90.00
_symmetry_space_group_name_H-M 'C 1 2/c 1'
_symmetry_Int_Tables_number 15
_symmetry_space_group_name_Hall '-C 2yc'
loop_
_atom_site_label
_atom_site_type_symbol
_atom_site_fract_x
_atom_site_fract_y
_atom_site_fract_z
_atom_site_occupancy
Na1 Na 0.0618 0.1255 0.1683 1
Na2 Na 0.1868 0.2709 0.5413 1
P1 P 0.0770 0.2532 0.8539 1
O1 O 0.0000 0.3628 0.7500 1
O2 O 0.0491 0.0548 0.8956 1
O3 O 0.1100 0.4435 0.9379 1
O4 O 0.1221 0.0136 0.0735 1
O5 O 0.1246 0.1723 0.8042 1
O6 O 0.1301 0.2642 0.3508 1
O7 O 0.1337 0.4721 0.1634 1
O8 O 0.2039 0.4987 0.2172 1
O9 O 0.2272 0.0586 0.9598 1
```

[6]
The following is a calculated powder diffractogram of NaPO3. It was derived from the PBE geometry in the Materials Project, using CuKα.
Peak positions follow from Bragg's law for the DFT cell and can differ from measured ones.

Main lines, in order of rising 2θ (10° ≤ 2θ ≤ 90°):
Position (°2θ)	I/Imax
17.39	51
22.74	41
24.86	40
26.60	36
28.15	53
28.47	52
28.70	37
30.30	90
30.65	100
51.53	42

Atomic structure:
```
data_NaPO3
_chemical_formula_sum 'Na6 P6 O18'
_cell_length_a 7.0940
_cell_length_b 7.1840
_cell_length_c 8.0624
_cell_angle_alpha 94.04
_cell_angle_beta 103.39
_cell_angle_gamma 90.25
_symmetry_space_group_name_H-M 'P -1'
_symmetry_Int_Tables_number 2
_symmetry_space_group_name_Hall '-P 1'
loop_
_atom_site_label
_atom_site_type_symbol
_atom_site_fract_x
_atom_site_fract_y
_atom_site_fract_z
_atom_site_occupancy
Na1 Na 0.0584 0.2501 0.2852 1
Na2 Na 0.2532 0.4752 0.0124 1
Na3 Na 0.4243 0.7421 0.6922 1
P1 P 0.0411 0.7340 0.3186 1
P2 P 0.2786 0.9419 0.1188 1
P3 P 0.3801 0.2668 0.6829 1
O1 O 0.0477 0.5590 0.2059 1
O2 O 0.1230 0.7361 0.5074 1
O3 O 0.1345 0.9087 0.2461 1
O4 O 0.1784 0.1909 0.7182 1
O5 O 0.2358 0.8044 0.9657 1
O6 O 0.2746 0.1489 0.1036 1
O7 O 0.3656 0.2661 0.4952 1
O8 O 0.4448 0.4419 0.7968 1
O9 O 0.4907 0.9086 0.2428 1
```